Structure and calculated powder diffraction line list of AcEr4Tm4 (the PBE geometry in Alexandria; Cu Kα).

Largest 10 diffraction maxima, sorted by position, 2θ from 5° to 70°:
2θ/deg, d (Å), I (rel.), (hkl)
29.8, 2.999, 23.5, 1 5 0
30.5, 2.929, 57.9, 2 2 0
31.0, 2.889, 100.0, 1 3 -3
31.4, 2.851, 42.0, 0 6 0
31.6, 2.830, 54.2, 1 1 3
32.8, 2.730, 23.5, 0 4 3
35.6, 2.519, 36.8, 2 4 0
41.1, 2.199, 20.3, 1 5 3
55.8, 1.647, 15.4, 2 8 -3
57.6, 1.600, 20.6, 3 3 3

Crystal structure
```
data_AcEr4Tm4
_chemical_formula_sum 'Ac4 Er16 Tm16'
_cell_length_a 6.337
_cell_length_b 17.106
_cell_length_c 10.813
_cell_angle_alpha 90.00
_cell_angle_beta 100.31
_cell_angle_gamma 90.00
_symmetry_space_group_name_H-M 'C 1 2/m 1'
_symmetry_Int_Tables_number 12
loop_
_symmetry_equiv_pos_as_xyz
'x,y,z'
'-x,-y,-z'
'-x,y,-z'
'x,-y,z'
'x+1/2,y+1/2,z'
'-x+1/2,-y+1/2,-z'
'-x+1/2,y+1/2,-z'
'x+1/2,-y+1/2,z'
loop_
_atom_site_label
_atom_site_fract_x
_atom_site_fract_y
_atom_site_fract_z
_atom_site_occupancy
Ac1 0.224 0.000 0.275 1
Er1 0.000 0.182 0.000 1
Er2 0.000 0.357 0.500 1
Er3 0.008 0.355 0.160 1
Tm1 0.020 0.189 0.664 1
Tm2 0.224 0.000 0.615 1
Tm3 0.232 0.000 0.945 1
```

Structure and calculated powder diffraction line list of Ac2Tb7Pm4 (the PBE geometry in Alexandria; Cu Kα).

Largest 10 diffraction maxima, sorted by position, 2θ from 5° to 70°:
2θ/deg, d (Å), I (rel.), (hkl)
6.5, 13.538, 17.2, 0 0 1
26.3, 3.385, 22.0, 0 0 4
28.6, 3.123, 16.6, 1 1 0
29.4, 3.043, 36.9, 1 1 1
31.6, 2.836, 100.0, 2 -1 2
33.1, 2.707, 15.1, 0 0 5
34.9, 2.568, 34.3, 1 1 3
49.9, 1.829, 18.3, 2 -1 6
50.6, 1.803, 28.6, 3 0 0
60.9, 1.521, 14.8, 2 2 2

Crystal structure
```
data_Ac2Tb7Pm4
_chemical_formula_sum 'Ac2 Tb7 Pm4'
_cell_length_a 6.2454
_cell_length_b 6.2454
_cell_length_c 13.5380
_cell_angle_alpha 90.00
_cell_angle_beta 90.00
_cell_angle_gamma 120.00
_symmetry_space_group_name_H-M 'P -3 1 m'
_symmetry_Int_Tables_number 162
_symmetry_space_group_name_Hall '-P 3 2'
loop_
_atom_site_label
_atom_site_fract_x
_atom_site_fract_y
_atom_site_fract_z
_atom_site_occupancy
Ac1 0.3333 0.6667 0.0000 1
Tb1 0.0000 0.0000 0.0000 1
Tb2 0.0000 0.3558 0.2187 1
Pm1 0.0000 0.0000 0.3940 1
Pm2 0.3333 0.6667 0.5000 1
```

Structure and calculated powder diffraction line list of Pr3Ho2Rh2 (the PBE geometry in Alexandria; Cu Kα).

Largest 10 diffraction maxima, sorted by position, 2θ from 5° to 70°:
2θ/deg, d (Å), I (rel.), (hkl)
29.8, 3.000, 48.5, 0 1 2
30.2, 2.956, 79.3, -1 1 2
31.6, 2.833, 88.0, 1 1 -1
32.2, 2.783, 100.0, 0 1 -3
33.2, 2.697, 62.3, 1 -2 1
33.7, 2.657, 75.0, -1 2 1
34.9, 2.568, 61.2, 0 2 1
38.2, 2.356, 61.1, 1 0 2
46.4, 1.958, 53.2, -2 1 1
57.5, 1.602, 54.9, 2 0 -4

Crystal structure
```
data_Pr3Ho2Rh2
_chemical_formula_sum 'Pr3 Ho2 Rh2'
_cell_length_a 3.918
_cell_length_b 6.460
_cell_length_c 8.724
_cell_angle_alpha 100.78
_cell_angle_beta 102.95
_cell_angle_gamma 107.64
_symmetry_space_group_name_H-M 'P -1'
_symmetry_Int_Tables_number 2
loop_
_symmetry_equiv_pos_as_xyz
'x,y,z'
'-x,-y,-z'
loop_
_atom_site_label
_atom_site_fract_x
_atom_site_fract_y
_atom_site_fract_z
_atom_site_occupancy
Pr1 0.000 0.000 0.000 1
Pr2 0.313 0.201 0.426 1
Ho1 0.142 0.469 0.815 1
Rh1 0.448 0.135 0.760 1
```

Structure and calculated powder diffraction line list of Te2PdRh2 (the PBE geometry in Alexandria; Cu Kα).

Largest 10 diffraction maxima, sorted by position, 2θ from 5° to 70°:
2θ/deg, d (Å), I (rel.), (hkl)
17.6, 5.052, 49.2, 1 0 -1
26.4, 3.376, 29.9, 1 -1 1
27.8, 3.213, 36.4, 1 0 -2
28.1, 3.173, 50.8, 0 1 -2
35.7, 2.517, 21.3, 1 -2 1
40.5, 2.228, 67.9, 0 2 1
41.6, 2.171, 100.0, 2 0 1
43.9, 2.061, 41.9, 2 -2 0
44.8, 2.021, 90.2, 2 2 -2
45.4, 1.997, 23.9, 0 2 -3

Crystal structure
```
data_Te2PdRh2
_chemical_formula_sum 'Te4 Pd2 Rh4'
_cell_length_a 5.759
_cell_length_b 5.838
_cell_length_c 6.940
_cell_angle_alpha 108.68
_cell_angle_beta 110.35
_cell_angle_gamma 90.62
_symmetry_space_group_name_H-M 'P -1'
_symmetry_Int_Tables_number 2
loop_
_symmetry_equiv_pos_as_xyz
'x,y,z'
'-x,-y,-z'
loop_
_atom_site_label
_atom_site_fract_x
_atom_site_fract_y
_atom_site_fract_z
_atom_site_occupancy
Te1 0.099 0.392 0.202 1
Te2 0.393 0.091 0.698 1
Pd1 0.428 0.567 0.797 1
Rh1 0.015 0.749 0.514 1
Rh2 0.245 0.992 0.986 1
```

Structure and calculated powder diffraction line list of LaPm5Pr5 (the PBE geometry in Alexandria; Cu Kα).

Largest 10 diffraction maxima, sorted by position, 2θ from 5° to 70°:
2θ/deg, d (Å), I (rel.), (hkl)
30.6, 2.926, 100.0, 2 0 -1
30.8, 2.899, 67.5, 0 2 -1
30.9, 2.890, 78.1, 2 2 1
31.2, 2.871, 82.6, 0 2 2
31.6, 2.835, 86.6, 2 0 2
32.4, 2.766, 59.7, 0 0 3
33.3, 2.691, 24.5, 1 -2 0
43.5, 2.081, 23.5, 2 -2 0
46.3, 1.960, 18.9, 2 2 4
54.4, 1.686, 26.6, 4 0 1

Crystal structure
```
data_LaPm5Pr5
_chemical_formula_sum 'La1 Pm5 Pr5'
_cell_length_a 7.119
_cell_length_b 7.132
_cell_length_c 8.688
_cell_angle_alpha 75.63
_cell_angle_beta 76.62
_cell_angle_gamma 71.48
_symmetry_space_group_name_H-M 'P -1'
_symmetry_Int_Tables_number 2
loop_
_symmetry_equiv_pos_as_xyz
'x,y,z'
'-x,-y,-z'
loop_
_atom_site_label
_atom_site_fract_x
_atom_site_fract_y
_atom_site_fract_z
_atom_site_occupancy
La1 0.000 0.000 0.000 1
Pm1 0.222 0.646 0.293 1
Pm2 0.310 0.295 0.647 1
Pm3 0.500 0.000 0.000 1
Pr1 0.000 0.500 0.000 1
Pr2 0.147 0.143 0.356 1
Pr3 0.361 0.758 0.724 1
```

Structure and calculated powder diffraction line list of PmCu2H4 (the PBE geometry in Alexandria; Cu Kα).

Largest 10 diffraction maxima, sorted by position, 2θ from 5° to 70°:
2θ/deg, d (Å), I (rel.), (hkl)
28.3, 3.150, 86.0, 1 1 2
29.1, 3.068, 91.8, 1 0 3
33.2, 2.695, 25.2, 2 0 0
37.0, 2.428, 28.9, 2 0 2
38.2, 2.357, 100.0, 2 1 1
43.8, 2.068, 26.0, 1 0 5
46.8, 1.941, 33.5, 2 0 4
56.4, 1.631, 23.2, 3 1 2
58.6, 1.575, 24.7, 2 2 4
62.7, 1.482, 24.0, 3 2 1

Crystal structure
```
data_PmCu2H4
_chemical_formula_sum 'Pm4 Cu8 H16'
_cell_length_a 5.390
_cell_length_b 5.390
_cell_length_c 11.196
_cell_angle_alpha 90.00
_cell_angle_beta 90.00
_cell_angle_gamma 90.00
_symmetry_space_group_name_H-M 'I -4 m 2'
_symmetry_Int_Tables_number 119
_symmetry_space_group_name_Hall 'I -4 -2'
loop_
_atom_site_label
_atom_site_fract_x
_atom_site_fract_y
_atom_site_fract_z
_atom_site_occupancy
Pm1 0.000 0.000 0.000 1
Pm2 0.000 0.500 0.250 1
Cu1 0.000 0.258 0.662 1
H1 0.221 0.268 0.118 1
```